The following is a calculated X-ray diffraction stick pattern of Sr8Co8O23. It was derived from a PBE+U-relaxed structure, using Cu Ka.
Intensities are scaled so that the largest is 1000.

Cell and atoms:
a b c (Å): 10.8554 10.8554 7.6440
angles (deg): 90.00 90.00 90.00
Space group I4/mmm (No. 139)
Symmetry-distinct sites (fractional):
Sr: 0.0000 0.2448 0.0000 (multiplicity 8)
Sr: 0.0000 0.2596 0.5000 (multiplicity 8)
Co: 0.0000 0.0000 0.2605 (multiplicity 4)
Co: 0.0000 0.5000 0.2500 (multiplicity 4)
Co: 0.2500 0.2500 0.2500 (multiplicity 8)
O: 0.0000 0.0000 0.0000 (multiplicity 2)
O: 0.0000 0.5000 0.0000 (multiplicity 4)
O: 0.1176 0.1176 0.2825 (multiplicity 16)
O: 0.1295 0.3705 0.2500 (multiplicity 16)
O: 0.2334 0.2334 0.0000 (multiplicity 8)

Top 10 peaks for 10 to 90 degrees two-theta, sorted by position:
33.1°, 2.710 Å, I 1000, hkl 2 2 2
40.8°, 2.213 Å, I 99, hkl 4 0 2
47.4°, 1.919 Å, I 238, hkl 4 4 0
47.6°, 1.911 Å, I 115, hkl 0 0 4
59.0°, 1.566 Å, I 250, hkl 6 2 2
59.1°, 1.562 Å, I 125, hkl 4 0 4
69.2°, 1.357 Å, I 66, hkl 8 0 0
69.4°, 1.354 Å, I 129, hkl 4 4 4
78.9°, 1.213 Å, I 102, hkl 6 6 2
88.3°, 1.106 Å, I 64, hkl 8 0 4